No. 1
Computed PXRD pattern of CaMgCd2Hg4 for Cu Kα, from the PBE geometry in Alexandria.
No peak broadening, texture or thermal motion is included.

```
CaMgCd2Hg4
1.0
2.5538 1.4745 8.3738
-2.5538 1.4745 8.3738
0.0000 -2.9489 8.3738
Ca Mg Cd Hg
1 1 2 4
direct
0.0000 0.0000 0.0000
0.5000 0.5000 0.5000
0.2551 0.2551 0.2551
0.7449 0.7449 0.7449
0.1317 0.1317 0.1317
0.3833 0.3833 0.3833
0.6167 0.6167 0.6167
0.8683 0.8683 0.8683
```

Largest 10 diffraction maxima, in order of rising 2θ, 2θ = 15–90°:
2θ/deg  I/Imax
21.27  5.3
24.62  25.1
35.09  100.0
43.38  6.1
50.47  16.7
57.00  5.7
62.80  5.8
63.01  26.8
74.28  6.0
84.85  7.7



No. 2
Computed PXRD pattern of Pm2Tl3Pd2 for Cu Kα, from the PBE geometry in Alexandria.
No peak broadening, texture or thermal motion is included.

```
Pm2Tl3Pd2
1.0
4.5432 0.0000 0.0000
0.0000 20.9617 0.0000
0.0000 0.0000 3.7570
Pm Tl Pd
4 6 4
direct
0.0000 0.1722 0.0000
0.0000 0.8278 0.0000
0.5000 0.3278 0.0000
0.5000 0.6722 0.0000
0.0000 0.0000 0.0000
0.0000 0.4239 0.5000
0.0000 0.5761 0.5000
0.5000 0.0761 0.5000
0.5000 0.5000 0.0000
0.5000 0.9239 0.5000
0.0000 0.2888 0.5000
0.0000 0.7112 0.5000
0.5000 0.2112 0.5000
0.5000 0.7888 0.5000
```

Largest 10 diffraction maxima, in order of rising 2θ, 2θ = 15–90°:
2θ/deg  I/Imax
28.98  24.6
31.19  100.0
35.07  53.0
35.92  48.8
39.68  29.1
48.46  16.5
53.98  31.4
61.77  20.4
64.35  14.1
66.75  11.5



No. 3
Computed PXRD pattern of ErAlGaRu for Cu Kα, from the PBE geometry in Alexandria.
No peak broadening, texture or thermal motion is included.

```
ErAlGaRu
1.0
4.2271 0.0000 0.0000
-2.1135 3.6607 0.0000
0.0000 0.0000 14.7318
Er Al Ga Ru
3 3 3 3
direct
0.0000 0.0000 0.0000
0.3333 0.6667 0.6667
0.6667 0.3333 0.3333
0.0000 0.0000 0.7890
0.3333 0.6667 0.4556
0.6667 0.3333 0.1223
0.0000 0.0000 0.2138
0.3333 0.6667 0.8805
0.6667 0.3333 0.5471
0.0000 0.0000 0.4917
0.3333 0.6667 0.1584
0.6667 0.3333 0.8250
```

Largest 10 diffraction maxima, in order of rising 2θ, 2θ = 15–90°:
2θ/deg  I/Imax
25.07  20.0
27.20  53.8
34.55  100.0
36.60  15.7
39.25  17.5
42.78  68.2
55.89  14.0
56.12  26.6
57.54  25.3
73.07  27.7



No. 4
Computed PXRD pattern of Ho5Cu2Te for Cu Kα, from the PBE geometry in Alexandria.
No peak broadening, texture or thermal motion is included.

```
Ho5Cu2Te
1.0
-3.9638 3.9638 6.3398
3.9638 -3.9638 6.3398
3.9638 3.9638 -6.3398
Ho Cu Te
10 4 2
direct
0.0000 0.0000 0.0000
0.0131 0.5131 0.8055
0.2076 0.0131 0.5000
0.2924 0.7924 0.8055
0.4869 0.2924 0.5000
0.5000 0.5000 0.0000
0.5131 0.7076 0.5000
0.7076 0.2076 0.1945
0.7924 0.9869 0.5000
0.9869 0.4869 0.1945
0.1338 0.3662 0.5000
0.3662 0.8662 0.2323
0.6338 0.1338 0.7677
0.8662 0.6338 0.5000
0.2500 0.2500 0.0000
0.7500 0.7500 0.0000
```

Largest 10 diffraction maxima, in order of rising 2θ, 2θ = 15–90°:
2θ/deg  I/Imax
26.10  29.2
31.93  12.4
32.45  32.1
32.98  100.0
35.82  71.5
36.29  30.3
54.61  15.8
57.23  20.8
67.36  18.2
70.26  14.9



No. 5
Computed PXRD pattern of Zn2NiPb2 for Cu Kα, from the PBE geometry in Alexandria.
No peak broadening, texture or thermal motion is included.

```
Zn2NiPb2
1.0
6.5615 0.0000 0.0000
0.0000 6.5615 0.0000
0.0000 0.0000 4.9403
Zn Ni Pb
4 2 4
direct
0.1472 0.3528 0.0000
0.3528 0.8528 0.0000
0.6472 0.1472 0.0000
0.8528 0.6472 0.0000
0.0000 0.0000 0.0000
0.5000 0.5000 0.0000
0.1832 0.6832 0.5000
0.3168 0.1832 0.5000
0.6832 0.8168 0.5000
0.8168 0.3168 0.5000
```

Largest 10 diffraction maxima, in order of rising 2θ, 2θ = 15–90°:
2θ/deg  I/Imax
17.96  16.4
27.18  20.1
30.46  13.9
32.77  37.0
35.58  100.0
36.37  29.9
43.62  17.4
58.05  14.7
61.19  26.3
64.94  17.4



No. 6
Computed PXRD pattern of Pr3SiTeBr for Cu Kα, from the PBE geometry in Alexandria.
No peak broadening, texture or thermal motion is included.

```
Pr3SiTeBr
1.0
9.0574 0.0000 0.0000
0.0000 4.3202 0.0000
-0.2455 0.0000 10.5771
Pr Si Te Br
6 2 2 2
direct
0.1078 0.2500 0.3593
0.1464 0.2500 0.9128
0.3577 0.7500 0.6354
0.6423 0.2500 0.3646
0.8536 0.7500 0.0872
0.8922 0.7500 0.6407
0.1261 0.2500 0.6422
0.8739 0.7500 0.3578
0.3737 0.7500 0.3319
0.6263 0.2500 0.6681
0.3691 0.7500 0.9248
0.6309 0.2500 0.0752
```

Largest 10 diffraction maxima, in order of rising 2θ, 2θ = 15–90°:
2θ/deg  I/Imax
19.63  14.1
25.26  24.2
28.30  14.6
28.56  100.0
33.89  20.6
38.17  13.5
38.81  17.5
39.81  19.8
41.82  17.5
44.53  15.6



No. 7
Computed PXRD pattern of Nb3InH for Cu Kα, from the PBE geometry in Alexandria.
No peak broadening, texture or thermal motion is included.

```
Nb3InH
1.0
4.7714 0.0000 0.0000
-2.3805 5.0117 0.0000
-0.0107 -2.5002 6.6294
Nb In H
6 2 2
direct
0.0000 0.0000 0.0000
0.0000 0.0000 0.5000
0.2208 0.4684 0.3581
0.2314 0.4678 0.8748
0.7686 0.5322 0.1252
0.7792 0.5316 0.6419
0.4990 0.9988 0.7519
0.5010 0.0012 0.2481
0.3248 0.3882 0.5961
0.6752 0.6118 0.4039
```

Largest 10 diffraction maxima, in order of rising 2θ, 2θ = 15–90°:
2θ/deg  I/Imax
36.96  100.0
37.71  24.2
38.39  21.9
51.60  9.5
54.91  15.0
66.11  8.2
67.56  12.0
68.50  13.4
78.66  7.3
87.61  5.8



No. 8
Computed PXRD pattern of Ho3In3Hg for Cu Kα, from the PBE geometry in Alexandria.
No peak broadening, texture or thermal motion is included.

```
Ho3In3Hg
1.0
5.6557 -2.3268 0.0000
5.6557 2.3268 0.0000
-4.6571 0.0000 14.2202
Ho In Hg
6 6 2
direct
0.0262 0.0262 0.3756
0.1028 0.1028 0.9242
0.2274 0.2274 0.2208
0.7726 0.7726 0.7792
0.8972 0.8972 0.0758
0.9738 0.9738 0.6244
0.3647 0.3647 0.4612
0.3809 0.3809 0.9261
0.4944 0.4944 0.7745
0.5056 0.5056 0.2255
0.6191 0.6191 0.0739
0.6353 0.6353 0.5388
0.2599 0.2599 0.6272
0.7401 0.7401 0.3728
```

Largest 10 diffraction maxima, in order of rising 2θ, 2θ = 15–90°:
2θ/deg  I/Imax
29.84  83.2
30.58  28.4
30.67  99.8
31.72  44.7
35.26  32.0
36.87  100.0
38.70  69.0
38.91  26.6
44.59  31.6
60.67  26.0



No. 9
Computed PXRD pattern of GaS2Br2F2 for Cu Kα, from the PBE geometry in Alexandria.
No peak broadening, texture or thermal motion is included.

```
GaS2Br2F2
1.0
13.7044 0.0000 0.0000
0.0000 3.6889 0.0000
-6.6986 0.0000 6.9661
Ga S Br F
2 4 4 4
direct
0.0000 0.0000 0.0000
0.5000 0.5000 0.0000
0.0506 0.5000 0.4684
0.4494 0.0000 0.5316
0.5506 0.0000 0.4684
0.9494 0.5000 0.5316
0.1018 0.5000 0.9361
0.3982 0.0000 0.0639
0.6018 0.0000 0.9361
0.8982 0.5000 0.0639
0.1568 0.0000 0.2505
0.3432 0.5000 0.7495
0.6568 0.5000 0.2505
0.8432 0.0000 0.7495
```

Largest 10 diffraction maxima, in order of rising 2θ, 2θ = 15–90°:
2θ/deg  I/Imax
17.96  89.2
25.58  63.7
25.81  49.4
31.75  80.5
31.93  100.0
37.05  57.5
40.75  36.1
41.44  30.7
52.55  27.5
65.92  29.2